No. 1
Diffraction record for CeB4Ir5. The powder XRD pattern is theoretical, not measured: it uses a cell relaxed with PBE and Cu Ka.

Crystal structure
```
CeB4Ir5
1.0
6.9372 0.0000 0.0000
0.0000 6.9372 0.0000
0.0000 0.0000 5.4370
Ce B Ir
2 8 10
Direct
0.2500 0.7500 0.0000
0.7500 0.2500 0.0000
0.0428 0.2500 0.4127
0.2500 0.0428 0.4127
0.2500 0.4572 0.4127
0.4572 0.2500 0.4127
0.5428 0.7500 0.5873
0.7500 0.5428 0.5873
0.7500 0.9572 0.5873
0.9572 0.7500 0.5873
0.0403 0.0403 0.7290
0.0403 0.4597 0.7290
0.2500 0.2500 0.1078
0.4597 0.0403 0.7290
0.4597 0.4597 0.7290
0.5403 0.5403 0.2710
0.5403 0.9597 0.2710
0.7500 0.7500 0.8922
0.9597 0.5403 0.2710
0.9597 0.9597 0.2710
```

Principal peaks in the range 2θ from 10° to 90°, in order of rising 2θ:
two_theta  d [Å]  I/Imax
25.7  3.469  30
30.6  2.924  49
32.9  2.718  21
33.2  2.695  44
36.6  2.453  85
42.2  2.140  100
42.5  2.128  60
50.3  1.814  24
52.8  1.734  22
70.0  1.344  22
71.5  1.319  21
75.9  1.253  31

=====

No. 2
Diffraction record for CeB4Ir12. The powder XRD pattern is theoretical, not measured: it uses a cell relaxed with PBE and Cu Ka.

Crystal structure
```
CeB4Ir12
1.0
-3.9232 3.9232 3.9232
3.9232 -3.9232 3.9232
3.9232 3.9232 -3.9232
Ce B Ir
1 4 12
Direct
0.0000 0.0000 0.0000
0.0000 0.0000 0.5000
0.0000 0.5000 0.0000
0.5000 0.0000 0.0000
0.5000 0.5000 0.5000
0.1522 0.8294 0.3228
0.1706 0.3228 0.4934
0.1706 0.6772 0.8478
0.3228 0.1522 0.8294
0.3228 0.4934 0.1706
0.4934 0.1706 0.3228
0.5066 0.8294 0.6772
0.6772 0.5066 0.8294
0.6772 0.8478 0.1706
0.8294 0.3228 0.1522
0.8294 0.6772 0.5066
0.8478 0.1706 0.6772
```

Principal peaks in the range 2θ from 10° to 90°, in order of rising 2θ:
two_theta  d [Å]  I/Imax
32.3  2.774  10
36.2  2.481  100
39.8  2.265  13
43.1  2.097  57
54.9  1.673  6
57.5  1.602  9
60.1  1.539  12
69.9  1.346  27
72.2  1.308  15
74.6  1.273  16
83.6  1.157  18
88.0  1.110  7

=====

No. 3
Diffraction record for K2CeB2O6. The powder XRD pattern is theoretical, not measured: it uses a cell relaxed with PBE and Cu Ka.

Crystal structure
```
K2CeB2O6
1.0
5.5913 0.0000 0.0000
-2.7956 4.8422 0.0000
0.0000 0.0000 6.4816
K Ce B O
2 1 2 6
Direct
0.3333 0.6667 0.3242
0.6667 0.3333 0.6758
0.0000 0.0000 0.0000
0.3333 0.6667 0.8033
0.6667 0.3333 0.1967
0.1903 0.3806 0.7981
0.1903 0.8097 0.7981
0.3806 0.1903 0.2019
0.6194 0.8097 0.7981
0.8097 0.1903 0.2019
0.8097 0.6194 0.2019
```

Principal peaks in the range 2θ from 10° to 90°, in order of rising 2θ:
two_theta  d [Å]  I/Imax
13.7  6.482  45
18.3  4.842  26
22.9  3.879  100
32.0  2.796  39
33.3  2.693  59
35.0  2.567  14
39.7  2.268  34
46.8  1.940  25
51.9  1.761  26
53.6  1.710  20
57.1  1.613  14
57.9  1.594  14